For MgGe, a PBE-relaxed structure gives the computed X-ray powder pattern in this record (Cu Kα, 1.54184 Å).

Cell and atoms:
```
data_MgGe
_cell_length_a 10.6893
_cell_length_b 3.1796
_cell_length_c 4.8390
_cell_angle_alpha 90.00
_cell_angle_beta 108.00
_cell_angle_gamma 90.00
_symmetry_space_group_name_H-M 'C 1 2/m 1'
_symmetry_Int_Tables_number 12
loop_
_symmetry_equiv_pos_as_xyz
'x,y,z'
'-x,-y,-z'
'-x,y,-z'
'x,-y,z'
'x+1/2,y+1/2,z'
'-x+1/2,-y+1/2,-z'
'-x+1/2,y+1/2,-z'
'x+1/2,-y+1/2,z'
loop_
_atom_site_label
_atom_site_type_symbol
_atom_site_fract_x
_atom_site_fract_y
_atom_site_fract_z
Mg1 Mg 0.1191 0.0000 0.2900
Ge1 Ge 0.1259 0.5000 0.7846
```

The 12 most intense peaks (2θ from 10° to 80°), in order of rising 2θ:
- 21.7 deg, I = 65, hkl 2 0 -1
- 29.4 deg, I = 29, hkl 1 1 0
- 29.9 deg, I = 28, hkl 2 0 1
- 33.8 deg, I = 49, hkl 1 1 -1
- 35.3 deg, I = 79, hkl 4 0 0
- 37.0 deg, I = 100, hkl 1 1 1
- 39.1 deg, I = 48, hkl 0 0 2
- 39.7 deg, I = 84, hkl 3 1 -1
- 44.2 deg, I = 33, hkl 4 0 -2
- 62.6 deg, I = 34, hkl 5 1 1
- 65.5 deg, I = 25, hkl 3 1 -3
- 71.4 deg, I = 22, hkl 1 1 3